This entry pairs a crystal structure of LiVO2F2 with its theoretical powder diffractogram. Radiation: Cu Kα. Structure: the GGA+U geometry in Alexandria.

Largest 8 diffraction maxima, low angle first, 2θ from 10° to 80°:
hkl 1 0 -1, d 4.909, rel. 100
hkl 1 0 1, d 4.084, rel. 83
hkl 0 1 1, d 3.337, rel. 70
hkl 1 1 0, d 3.295, rel. 87
hkl 0 0 2, d 3.214, rel. 38
hkl 2 0 0, d 3.070, rel. 55
hkl 2 0 -1, d 2.990, rel. 37
hkl 0 2 0, d 1.952, rel. 38

Cell and atoms:
Cell: 6.244 3.905 6.538 Å, 90.00 100.50 90.00°
Space group P2_1 (No. 4)
Asymmetric unit:
Li (0.171, 0.000, 0.157) [2 per cell]
V (0.289, 0.251, 0.705) [2 per cell]
O (0.123, 0.250, 0.881) [2 per cell]
O (0.454, 0.754, 0.182) [2 per cell]
F (0.203, 0.246, 0.416) [2 per cell]
F (0.274, 0.749, 0.662) [2 per cell]